1.
Ho2Be2AlPd5: calculated powder X-ray diffraction pattern (a wavelength of 1.5418 Å), based on a GGA-PBE-relaxed structure.

Crystal structure
a b c (Å): 9.6172 9.6172 3.4108
angles (deg): 90.00 90.00 90.00
Space group P4/mbm (No. 127)
Inequivalent atoms, fractional coordinates:
Ho: 0.1770 0.3230 0.0000 [4 per cell]
Be: 0.1196 0.6196 0.0000 [4 per cell]
Al: 0.0000 0.0000 0.0000 [2 per cell]
Pd: 0.0000 0.5000 0.5000 [2 per cell]
Pd: 0.0669 0.7878 0.5000 [8 per cell]

Top 6 peaks for 2θ = 10–90°, sorted by position:
| 2theta | d [Å] | intensity | hkl |
| --- | --- | --- | --- |
| 33.5 | 2.672 | 94 | 2 1 1 |
| 37.3 | 2.408 | 27 | 2 2 1 |
| 38.6 | 2.333 | 80 | 4 1 0 |
| 39.7 | 2.269 | 100 | 3 3 0 |
| 43.1 | 2.101 | 28 | 3 2 1 |
| 68.1 | 1.377 | 30 | 4 1 2 |

2.
BeAlInSe4: calculated powder X-ray diffraction pattern (a wavelength of 1.5418 Å), based on a GGA-PBE-relaxed structure.

Crystal structure
a b c (Å): 5.6753 5.6753 10.7875
angles (deg): 90.00 90.00 90.00
Space group I-4 (No. 82)
Inequivalent atoms, fractional coordinates:
Be: 0.0000 0.0000 0.0000 [2 per cell]
Al: 0.0000 0.5000 0.2500 [2 per cell]
In: 0.0000 0.5000 0.7500 [2 per cell]
Se: 0.2259 0.2582 0.1074 [8 per cell]

Top 6 peaks for 2θ = 10–90°, sorted by position:
| 2theta | d [Å] | intensity | hkl |
| --- | --- | --- | --- |
| 22.2 | 4.013 | 15 | 1 1 0 |
| 27.7 | 3.220 | 100 | 1 1 2 |
| 35.8 | 2.511 | 18 | 2 0 2 |
| 45.2 | 2.007 | 22 | 2 2 0 |
| 46.5 | 1.955 | 38 | 2 0 4 |
| 53.8 | 1.703 | 28 | 1 3 2 |

3.
Be5AlIr6: calculated powder X-ray diffraction pattern (a wavelength of 1.5418 Å), based on a GGA-PBE-relaxed structure.

Crystal structure
a b c (Å): 4.0302 5.6943 6.3633
angles (deg): 90.00 108.55 90.00
Space group P2/m (No. 10)
Inequivalent atoms, fractional coordinates:
Be: 0.0000 0.0000 0.0000 [1 per cell]
Be: 0.3362 0.0000 0.6718 [2 per cell]
Be: 0.3356 0.5000 0.6699 [2 per cell]
Al: 0.0000 0.5000 0.0000 [1 per cell]
Ir: 0.1711 0.2457 0.3424 [4 per cell]
Ir: 0.5000 0.2407 0.0000 [2 per cell]

Top 6 peaks for 2θ = 10–90°, sorted by position:
| 2theta | d [Å] | intensity | hkl |
| --- | --- | --- | --- |
| 31.4 | 2.847 | 100 | 1 0 1 |
| 45.0 | 2.013 | 92 | 2 0 -1 |
| 55.9 | 1.644 | 27 | 2 2 -1 |
| 74.5 | 1.274 | 17 | 3 0 0 |
| 83.0 | 1.163 | 16 | 3 2 0 |
| 83.2 | 1.162 | 15 | 0 4 3 |

4.
Th2Be4AlIr3: calculated powder X-ray diffraction pattern (a wavelength of 1.5418 Å), based on a GGA-PBE-relaxed structure.

Crystal structure
a b c (Å): 3.9285 3.9285 10.3039
angles (deg): 90.00 90.00 90.00
Space group P-4m2 (No. 115)
Inequivalent atoms, fractional coordinates:
Th: 0.0000 0.5000 0.2439 [2 per cell]
Be: 0.0000 0.0000 0.0000 [1 per cell]
Be: 0.0000 0.5000 0.6326 [2 per cell]
Be: 0.5000 0.5000 0.0000 [1 per cell]
Al: 0.0000 0.0000 0.5000 [1 per cell]
Ir: 0.0000 0.5000 0.8722 [2 per cell]
Ir: 0.5000 0.5000 0.5000 [1 per cell]

Top 6 peaks for 2θ = 10–90°, sorted by position:
| 2theta | d [Å] | intensity | hkl |
| --- | --- | --- | --- |
| 32.2 | 2.778 | 43 | 1 1 0 |
| 33.4 | 2.682 | 48 | 1 1 1 |
| 34.7 | 2.586 | 100 | 1 0 3 |
| 36.8 | 2.445 | 78 | 1 1 2 |
| 46.2 | 1.964 | 49 | 2 0 0 |
| 59.1 | 1.564 | 48 | 2 1 3 |

5.
KBeAl: calculated powder X-ray diffraction pattern (a wavelength of 1.5418 Å), based on a GGA-PBE-relaxed structure.

Crystal structure
a b c (Å): 2.7976 4.0130 12.2985
angles (deg): 90.00 90.00 90.00
Space group Imm2 (No. 44)
Inequivalent atoms, fractional coordinates:
K: 0.0000 0.0000 0.0000 [2 per cell]
Be: 0.0000 0.0000 0.2684 [2 per cell]
Al: 0.0000 0.0000 0.7280 [2 per cell]

Top 6 peaks for 2θ = 10–90°, sorted by position:
| 2theta | d [Å] | intensity | hkl |
| --- | --- | --- | --- |
| 23.3 | 3.815 | 100 | 0 1 1 |
| 29.0 | 3.075 | 80 | 0 0 4 |
| 31.2 | 2.868 | 86 | 0 1 3 |
| 39.0 | 2.311 | 44 | 1 0 3 |
| 39.3 | 2.295 | 73 | 1 1 0 |
| 49.6 | 1.839 | 63 | 1 1 4 |

6.
K2BeAlO4: calculated powder X-ray diffraction pattern (a wavelength of 1.5418 Å), based on a GGA-PBE-relaxed structure.

Crystal structure
a b c (Å): 4.5231 11.2624 20.5606
angles (deg): 90.00 90.00 90.00
Space group Fddd (No. 70, origin choice 2)
Inequivalent atoms, fractional coordinates:
K: 0.1250 0.1250 0.2986 [16 per cell]
Be: 0.1250 0.1250 0.6250 [8 per cell]
Al: 0.1250 0.1250 0.1250 [8 per cell]
O: 0.1085 0.2924 0.8316 [32 per cell]

Top 6 peaks for 2θ = 10–90°, sorted by position:
| 2theta | d [Å] | intensity | hkl |
| --- | --- | --- | --- |
| 21.6 | 4.112 | 37 | 1 1 1 |
| 30.5 | 2.927 | 100 | 0 2 6 |
| 31.3 | 2.861 | 45 | 1 3 1 |
| 33.7 | 2.662 | 74 | 1 3 3 |
| 38.1 | 2.364 | 85 | 1 3 5 |
| 58.9 | 1.568 | 33 | 2 4 6 |

7.
LaBeAl: calculated powder X-ray diffraction pattern (a wavelength of 1.5418 Å), based on a GGA-PBE-relaxed structure.

Crystal structure
a b c (Å): 4.3614 5.6719 6.0554
angles (deg): 108.21 110.14 99.69
Space group P-1 (No. 2)
Inequivalent atoms, fractional coordinates:
La: 0.2135 0.2242 0.3842 [2 per cell]
Be: 0.0024 0.6477 0.1629 [2 per cell]
Al: 0.4695 0.7567 0.0369 [2 per cell]

Top 6 peaks for 2θ = 10–90°, sorted by position:
| 2theta | d [Å] | intensity | hkl |
| --- | --- | --- | --- |
| 17.0 | 5.210 | 69 | 0 0 1 |
| 24.0 | 3.700 | 98 | 1 -1 0 |
| 27.9 | 3.193 | 59 | -1 1 1 |
| 28.2 | 3.160 | 73 | 1 1 -1 |
| 31.7 | 2.823 | 65 | 0 1 -2 |
| 32.2 | 2.778 | 100 | 1 0 -2 |

8.
LaBeAl2Os2: calculated powder X-ray diffraction pattern (a wavelength of 1.5418 Å), based on a GGA-PBE-relaxed structure.

Crystal structure
a b c (Å): 4.3590 4.3590 5.5754
angles (deg): 90.00 90.00 90.00
Space group P4/mmm (No. 123)
Inequivalent atoms, fractional coordinates:
La: 0.0000 0.0000 0.0000 [1 per cell]
Be: 0.0000 0.0000 0.5000 [1 per cell]
Al: 0.5000 0.5000 0.2515 [2 per cell]
Os: 0.0000 0.5000 0.5000 [2 per cell]

Top 6 peaks for 2θ = 10–90°, sorted by position:
| 2theta | d [Å] | intensity | hkl |
| --- | --- | --- | --- |
| 15.9 | 5.575 | 34 | 0 0 1 |
| 32.1 | 2.788 | 23 | 0 0 2 |
| 33.2 | 2.698 | 100 | 1 1 1 |
| 41.4 | 2.180 | 35 | 2 0 0 |
| 53.4 | 1.717 | 22 | 2 0 2 |
| 70.4 | 1.338 | 23 | 3 1 1 |

9.
La3BeAlS7: calculated powder X-ray diffraction pattern (a wavelength of 1.5418 Å), based on a GGA-PBE-relaxed structure.

Crystal structure
a b c (Å): 10.1932 10.1932 6.0099
angles (deg): 90.00 90.00 120.00
Space group P6_3 (No. 173)
Inequivalent atoms, fractional coordinates:
La: 0.1418 0.3919 0.0000 [6 per cell]
Be: 0.3333 0.6667 0.4108 [2 per cell]
Al: 0.0000 0.0000 0.3017 [2 per cell]
S: 0.0795 0.2163 0.5592 [6 per cell]
S: 0.1124 0.5925 0.2835 [6 per cell]
S: 0.3333 0.6667 0.7627 [2 per cell]

Top 6 peaks for 2θ = 10–90°, sorted by position:
| 2theta | d [Å] | intensity | hkl |
| --- | --- | --- | --- |
| 17.9 | 4.968 | 82 | 1 0 1 |
| 25.0 | 3.557 | 100 | 2 0 1 |
| 26.7 | 3.337 | 72 | 1 2 0 |
| 33.9 | 2.643 | 74 | 3 0 1 |
| 39.8 | 2.267 | 67 | 3 1 1 |
| 40.4 | 2.233 | 79 | 1 2 2 |

10.
LiZrBeAl: calculated powder X-ray diffraction pattern (a wavelength of 1.5418 Å), based on a GGA-PBE-relaxed structure.

Crystal structure
a b c (Å): 6.1409 6.1409 6.1409
angles (deg): 90.00 90.00 90.00
Space group F-43m (No. 216)
Inequivalent atoms, fractional coordinates:
Li: 0.0000 0.0000 0.0000 [4 per cell]
Zr: 0.2500 0.2500 0.2500 [4 per cell]
Be: 0.0000 0.0000 0.5000 [4 per cell]
Al: 0.2500 0.2500 0.7500 [4 per cell]

Top 6 peaks for 2θ = 10–90°, sorted by position:
| 2theta | d [Å] | intensity | hkl |
| --- | --- | --- | --- |
| 25.1 | 3.545 | 66 | 1 1 1 |
| 29.1 | 3.070 | 93 | 2 0 0 |
| 41.6 | 2.171 | 100 | 2 2 0 |
| 49.2 | 1.852 | 31 | 3 1 1 |
| 68.3 | 1.373 | 30 | 4 2 0 |
| 75.9 | 1.254 | 32 | 4 2 2 |

11.
MgBeAl2: calculated powder X-ray diffraction pattern (a wavelength of 1.5418 Å), based on a GGA-PBE-relaxed structure.

Crystal structure
a b c (Å): 4.5750 3.9745 7.3792
angles (deg): 90.00 99.32 90.00
Space group P2_1/m (No. 11)
Inequivalent atoms, fractional coordinates:
Mg: 0.0377 0.2500 0.1616 [2 per cell]
Be: 0.1154 0.2500 0.5474 [2 per cell]
Al: 0.4085 0.7500 0.5975 [2 per cell]
Al: 0.4616 0.2500 0.8714 [2 per cell]

Top 6 peaks for 2θ = 10–90°, sorted by position:
| 2theta | d [Å] | intensity | hkl |
| --- | --- | --- | --- |
| 33.7 | 2.662 | 38 | 1 1 1 |
| 36.9 | 2.439 | 100 | 1 1 -2 |
| 39.9 | 2.259 | 40 | 2 0 0 |
| 41.1 | 2.195 | 56 | 1 1 2 |
| 45.7 | 1.987 | 34 | 0 2 0 |
| 62.2 | 1.492 | 21 | 2 2 0 |

12.
MgBeAl2: calculated powder X-ray diffraction pattern (a wavelength of 1.5418 Å), based on a GGA-PBE-relaxed structure.

Crystal structure
a b c (Å): 4.6086 5.0820 5.8453
angles (deg): 85.49 78.02 76.98
Space group P-1 (No. 2)
Inequivalent atoms, fractional coordinates:
Mg: 0.0921 0.3948 0.2516 [2 per cell]
Be: 0.0569 0.0832 0.6469 [2 per cell]
Al: 0.2932 0.8608 0.9664 [2 per cell]
Al: 0.4642 0.7607 0.4081 [2 per cell]

Top 6 peaks for 2θ = 10–90°, sorted by position:
| 2theta | d [Å] | intensity | hkl |
| --- | --- | --- | --- |
| 35.4 | 2.533 | 79 | -1 1 1 |
| 35.9 | 2.505 | 98 | 1 1 2 |
| 36.8 | 2.440 | 96 | 0 1 -2 |
| 37.7 | 2.387 | 96 | 1 2 0 |
| 40.9 | 2.206 | 100 | 2 0 1 |
| 41.2 | 2.193 | 63 | 2 1 0 |

13.
Mg2BeAl2: calculated powder X-ray diffraction pattern (a wavelength of 1.5418 Å), based on a GGA-PBE-relaxed structure.

Crystal structure
a b c (Å): 6.3509 6.3509 4.4910
angles (deg): 90.00 90.00 90.00
Space group P4/mbm (No. 127)
Inequivalent atoms, fractional coordinates:
Mg: 0.1670 0.3330 0.0000 [4 per cell]
Be: 0.0000 0.0000 0.5000 [2 per cell]
Al: 0.1459 0.6459 0.5000 [4 per cell]

Top 6 peaks for 2θ = 10–90°, sorted by position:
| 2theta | d [Å] | intensity | hkl |
| --- | --- | --- | --- |
| 19.8 | 4.491 | 16 | 1 1 0 |
| 37.5 | 2.400 | 100 | 2 1 1 |
| 40.2 | 2.245 | 21 | 0 0 2 |
| 45.1 | 2.008 | 21 | 3 1 0 |
| 62.0 | 1.497 | 21 | 3 3 0 |
| 71.2 | 1.324 | 14 | 2 1 3 |